[1]
The following is a theoretical XRD peak list of MgTe2Mo2WSe2S2. It was derived from a crystal structure in the Materials Project, relaxed with PBE, using Cu Ka.

Main lines, in order of falling intensity (2θ from 10° to 90°):
- 40.73°, I 100
- 39.17°, I 77
- 34.04°, I 62
- 54.84°, I 54
- 30.83°, I 54
- 35.13°, I 52
- 11.72°, I 49
- 37.71°, I 48
- 32.29°, I 45
- 44.12°, I 35

a b c (Å): 3.3485 3.3485 37.7688
angles (deg): 90.00 90.00 120.00
Fractional coordinates of all 10 atoms:
Mg 0.0000 0.0000 0.0000
Te 0.6667 0.3333 0.0864
Te 0.6667 0.3333 0.1876
Mo 0.3333 0.6667 0.6669
Mo 0.6667 0.3333 0.8903
W 0.3333 0.6667 0.1372
Se 0.6667 0.3333 0.6228
Se 0.6667 0.3333 0.7110
S 0.3333 0.6667 0.8504
S 0.3333 0.6667 0.9311

---

[2]
The following is a theoretical XRD peak list of TiPd. It was derived from a crystal structure in the Materials Project, relaxed with PBE, using Cu Ka.

Main lines, in order of falling intensity (2θ from 10° to 90°):
- 42.03°, I 100
- 39.27°, I 35
- 41.69°, I 26
- 26.58°, I 24
- 36.56°, I 24
- 73.08°, I 18
- 54.74°, I 14
- 79.64°, I 13
- 66.06°, I 11
- 36.94°, I 11

a b c (Å): 4.5881 2.8009 4.9154
angles (deg): 90.00 90.00 90.00
Fractional coordinates of all 4 atoms:
Ti 0.2500 0.0000 0.2021
Ti 0.7500 0.0000 0.7979
Pd 0.2500 0.5000 0.6869
Pd 0.7500 0.5000 0.3131

---

[3]
The following is a theoretical XRD peak list of Nb4B20Mo11. It was derived from a crystal structure in the Materials Project, relaxed with PBE, using Cu Ka.

Main lines, in order of falling intensity (2θ from 10° to 90°):
- 34.71°, I 100
- 42.54°, I 95
- 42.88°, I 64
- 28.55°, I 53
- 38.59°, I 31
- 68.11°, I 27
- 68.91°, I 26
- 76.15°, I 23
- 67.35°, I 18
- 57.46°, I 17

a b c (Å): 35.0640 35.0640 35.0640
angles (deg): 174.93 174.76 7.30
Fractional coordinates of all 35 atoms:
Nb 0.1000 0.1000 0.0000
Nb 0.3000 0.3000 0.0000
Nb 0.7000 0.7000 0.0000
Nb 0.9000 0.9000 0.0000
B 0.0129 0.0129 0.0000
B 0.0270 0.5270 0.5000
B 0.1730 0.6730 0.5000
B 0.1868 0.1868 0.0000
B 0.2132 0.2132 0.0000
B 0.2270 0.7270 0.5000
B 0.3730 0.8730 0.5000
B 0.3868 0.3868 0.0000
B 0.4133 0.4133 0.0000
B 0.4271 0.9271 0.5000
B 0.5729 0.0729 0.5000
B 0.5867 0.5867 0.0000
B 0.6132 0.6132 0.0000
B 0.6270 0.1270 0.5000
B 0.7730 0.2730 0.5000
B 0.7868 0.7868 0.0000
B 0.8132 0.8132 0.0000
B 0.8270 0.3270 0.5000
B 0.9730 0.4730 0.5000
B 0.9871 0.9871 0.0000
Mo 0.0628 0.5628 0.5000
Mo 0.1371 0.6371 0.5000
Mo 0.2629 0.7629 0.5000
Mo 0.3371 0.8371 0.5000
Mo 0.4635 0.9635 0.5000
Mo 0.5000 0.5000 0.0000
Mo 0.5365 0.0365 0.5000
Mo 0.6629 0.1629 0.5000
Mo 0.7371 0.2371 0.5000
Mo 0.8629 0.3629 0.5000
Mo 0.9372 0.4372 0.5000

---

[4]
The following is a theoretical XRD peak list of NaGaSe2O6. It was derived from a crystal structure in the Materials Project, relaxed with PBE, using Cu Ka.

Main lines, in order of falling intensity (2θ from 10° to 90°):
- 31.26°, I 100
- 29.05°, I 67
- 26.42°, I 63
- 32.73°, I 55
- 33.16°, I 41
- 21.60°, I 34
- 38.44°, I 31
- 13.12°, I 30
- 21.07°, I 28
- 64.89°, I 21

a b c (Å): 12.6942 5.4030 7.9640
angles (deg): 90.00 90.00 90.00
Fractional coordinates of all 40 atoms:
Na 0.1147 0.2500 0.0106
Na 0.3853 0.7500 0.5106
Na 0.6147 0.2500 0.4894
Na 0.8853 0.7500 0.9894
Ga 0.1016 0.7500 0.7005
Ga 0.3984 0.2500 0.2005
Ga 0.6016 0.7500 0.7995
Ga 0.8984 0.2500 0.2995
Se 0.0665 0.7500 0.2896
Se 0.2058 0.2500 0.4903
Se 0.2942 0.7500 0.9903
Se 0.4335 0.2500 0.7896
Se 0.5665 0.7500 0.2104
Se 0.7058 0.2500 0.0097
Se 0.7942 0.7500 0.5097
Se 0.9335 0.2500 0.7104
O 0.0019 0.0051 0.7994
O 0.0019 0.4949 0.7994
O 0.0199 0.7500 0.4920
O 0.1619 0.7500 0.9338
O 0.2116 0.0004 0.6272
O 0.2116 0.4996 0.6272
O 0.2884 0.9996 0.1272
O 0.2884 0.5004 0.1272
O 0.3381 0.2500 0.4338
O 0.4801 0.2500 0.9920
O 0.4981 0.5051 0.2994
O 0.4981 0.9949 0.2994
O 0.5019 0.0051 0.7006
O 0.5019 0.4949 0.7006
O 0.5199 0.7500 0.0080
O 0.6619 0.7500 0.5662
O 0.7116 0.0004 0.8728
O 0.7116 0.4996 0.8728
O 0.7884 0.9996 0.3728
O 0.7884 0.5004 0.3728
O 0.8381 0.2500 0.0662
O 0.9801 0.2500 0.5080
O 0.9981 0.5051 0.2006
O 0.9981 0.9949 0.2006

---

[5]
The following is a theoretical XRD peak list of Zn2PdO4. It was derived from a crystal structure in the Materials Project, relaxed with PBE, using Cu Ka.

Main lines, in order of falling intensity (2θ from 10° to 90°):
- 34.22°, I 100
- 29.06°, I 43
- 60.24°, I 40
- 54.90°, I 37
- 85.90°, I 19
- 51.52°, I 17
- 71.14°, I 11
- 83.18°, I 8
- 35.79°, I 8
- 68.26°, I 7

a b c (Å): 6.1452 6.1452 6.1452
angles (deg): 60.00 60.00 60.00
Fractional coordinates of all 14 atoms:
Zn 0.0000 0.0000 0.0000
Zn 0.0000 0.0000 0.5000
Zn 0.0000 0.5000 0.0000
Zn 0.5000 0.0000 0.0000
Pd 0.3750 0.3750 0.3750
Pd 0.6250 0.6250 0.6250
O 0.2222 0.7593 0.7593
O 0.2407 0.2407 0.2407
O 0.2407 0.2407 0.7778
O 0.2407 0.7778 0.2407
O 0.7593 0.2222 0.7593
O 0.7593 0.7593 0.2222
O 0.7593 0.7593 0.7593
O 0.7778 0.2407 0.2407